This entry pairs a crystal structure of Ba8Br3N4 with its theoretical X-ray powder pattern. Radiation: a wavelength of 1.5418 Å. Structure: a PBE-relaxed structure.

Crystal structure
Unit cell a=8.797 b=8.797 c=8.596 alpha=118.76 beta=118.76 gamma=90.33
Fractional coordinates of all 15 atoms:
Ba (0.186, 0.186, 0.929)
Ba (0.228, 0.772, 0.000)
Ba (0.230, 0.770, 0.500)
Ba (0.231, 0.231, 0.472)
Ba (0.769, 0.769, 0.528)
Ba (0.770, 0.230, 0.500)
Ba (0.772, 0.228, 0.000)
Ba (0.814, 0.814, 0.071)
Br (0.000, 0.500, 0.000)
Br (0.500, 0.000, 0.000)
Br (0.500, 0.500, 0.000)
N (0.000, 0.000, 0.000)
N (0.000, 0.000, 0.500)
N (0.000, 0.500, 0.500)
N (0.500, 0.000, 0.500)

The 12 most intense peaks (2θ = 5–70°), by angle:
d/Å, I/Imax
3.667, 74
3.539, 88
3.142, 95
3.119, 100
3.097, 99
2.444, 31
2.267, 27
2.214, 62
2.198, 66
2.149, 38
1.834, 24
1.770, 37

=====

This entry pairs a crystal structure of Ba2V2N with its theoretical X-ray powder pattern. Radiation: a wavelength of 1.5418 Å. Structure: a PBE-relaxed structure.

Crystal structure
Unit cell a=3.398 b=3.398 c=20.110 alpha=90.00 beta=90.00 gamma=90.00
Fractional coordinates of all 10 atoms:
Ba (0.000, 0.000, 0.077)
Ba (0.000, 0.000, 0.923)
Ba (0.500, 0.500, 0.423)
Ba (0.500, 0.500, 0.577)
V (0.000, 0.500, 0.250)
V (0.000, 0.500, 0.750)
V (0.500, 0.000, 0.250)
V (0.500, 0.000, 0.750)
N (0.000, 0.000, 0.500)
N (0.500, 0.500, 0.000)

The 12 most intense peaks (2θ = 5–70°), by angle:
d/Å, I/Imax
10.055, 14
3.351, 100
2.596, 29
2.403, 8
2.337, 33
2.194, 29
2.168, 13
1.737, 15
1.699, 12
1.515, 26
1.422, 9
1.408, 7

=====

This entry pairs a crystal structure of NaBeSiP2 with its theoretical X-ray powder pattern. Radiation: a wavelength of 1.5418 Å. Structure: a PBE-relaxed structure.

Crystal structure
Unit cell a=6.498 b=5.681 c=5.880 alpha=90.00 beta=104.43 gamma=90.00
Fractional coordinates of all 10 atoms:
Na (0.000, 0.240, 0.250)
Na (0.000, 0.760, 0.750)
Be (0.500, 0.500, 0.000)
Be (0.500, 0.500, 0.500)
Si (0.500, 0.007, 0.250)
Si (0.500, 0.993, 0.750)
P (0.298, 0.221, 0.941)
P (0.298, 0.779, 0.441)
P (0.702, 0.221, 0.559)
P (0.702, 0.779, 0.059)

The 12 most intense peaks (2θ = 5–70°), by angle:
d/Å, I/Imax
6.293, 45
5.681, 40
4.217, 18
3.697, 14
3.147, 100
2.877, 17
2.722, 53
2.589, 14
2.021, 34
1.890, 17
1.800, 16
1.687, 22

=====

This entry pairs a crystal structure of LiTaP2O with its theoretical X-ray powder pattern. Radiation: a wavelength of 1.5418 Å. Structure: a PBE-relaxed structure.

Crystal structure
Unit cell a=4.957 b=4.957 c=3.901 alpha=90.00 beta=90.00 gamma=90.00
Fractional coordinates of all 5 atoms:
Li (0.000, 0.000, 0.000)
Ta (0.500, 0.500, 0.500)
P (0.000, 0.500, 0.500)
P (0.500, 0.000, 0.500)
O (0.500, 0.500, 0.000)

The 12 most intense peaks (2θ = 5–70°), by angle:
d/Å, I/Imax
4.957, 100
3.901, 38
3.505, 22
3.066, 46
2.479, 32
2.217, 25
2.092, 28
1.927, 26
1.815, 13
1.599, 12
1.533, 14
1.464, 13

=====

This entry pairs a crystal structure of Pu2CdSn9 with its theoretical X-ray powder pattern. Radiation: a wavelength of 1.5418 Å. Structure: a PBE-relaxed structure.

Crystal structure
Unit cell a=5.882 b=6.692 c=8.830 alpha=80.24 beta=73.94 gamma=72.28
Fractional coordinates of all 12 atoms:
Pu (0.003, 0.159, 0.329)
Pu (0.997, 0.841, 0.671)
Cd (0.000, 0.500, 0.000)
Sn (0.000, 0.000, 0.000)
Sn (0.002, 0.659, 0.335)
Sn (0.492, 0.187, 0.847)
Sn (0.495, 0.672, 0.825)
Sn (0.500, 0.000, 0.500)
Sn (0.500, 0.500, 0.500)
Sn (0.505, 0.328, 0.175)
Sn (0.508, 0.813, 0.153)
Sn (0.998, 0.341, 0.665)

The 12 most intense peaks (2θ = 5–70°), by angle:
d/Å, I/Imax
2.789, 100
2.742, 95
2.720, 94
2.659, 85
2.412, 66
2.389, 65
2.287, 57
1.724, 25
1.687, 23
1.664, 23
1.442, 28
1.408, 25

=====

This entry pairs a crystal structure of Pm4Mg5Cd with its theoretical X-ray powder pattern. Radiation: a wavelength of 1.5418 Å. Structure: a PBE-relaxed structure.

Crystal structure
Unit cell a=8.503 b=8.503 c=6.683 alpha=105.39 beta=105.39 gamma=36.46
Fractional coordinates of all 10 atoms:
Pm (0.099, 0.099, 0.393)
Pm (0.307, 0.307, 0.190)
Pm (0.693, 0.693, 0.810)
Pm (0.901, 0.901, 0.607)
Mg (0.097, 0.097, 0.914)
Mg (0.303, 0.303, 0.701)
Mg (0.500, 0.500, 0.000)
Mg (0.697, 0.697, 0.299)
Mg (0.903, 0.903, 0.086)
Cd (0.500, 0.500, 0.500)

The 12 most intense peaks (2θ = 5–70°), by angle:
d/Å, I/Imax
6.416, 13
5.804, 15
4.147, 12
3.825, 18
3.796, 36
3.531, 14
2.709, 100
2.679, 64
2.660, 32
1.912, 13
1.898, 23
1.552, 29

=====

This entry pairs a crystal structure of KSr2Ac with its theoretical X-ray powder pattern. Radiation: a wavelength of 1.5418 Å. Structure: a PBE-relaxed structure.

Crystal structure
Unit cell a=4.131 b=4.131 c=44.851 alpha=90.00 beta=90.00 gamma=120.00
Fractional coordinates of all 12 atoms:
K (0.000, 0.000, 0.000)
K (0.333, 0.667, 0.667)
K (0.667, 0.333, 0.333)
Sr (0.000, 0.000, 0.092)
Sr (0.000, 0.000, 0.908)
Sr (0.333, 0.667, 0.574)
Sr (0.333, 0.667, 0.759)
Sr (0.667, 0.333, 0.241)
Sr (0.667, 0.333, 0.426)
Ac (0.000, 0.000, 0.500)
Ac (0.333, 0.667, 0.167)
Ac (0.667, 0.333, 0.833)

The 12 most intense peaks (2θ = 5–70°), by angle:
d/Å, I/Imax
14.950, 100
3.738, 19
3.533, 34
3.323, 32
3.124, 18
3.016, 13
2.797, 29
2.123, 9
2.066, 14
1.808, 15
1.771, 8
1.700, 8

=====

This entry pairs a crystal structure of Ba3TmBi2O9 with its theoretical X-ray powder pattern. Radiation: a wavelength of 1.5418 Å. Structure: a PBE-relaxed structure.

Crystal structure
Unit cell a=6.171 b=6.171 c=7.561 alpha=90.00 beta=90.00 gamma=120.00
Fractional coordinates of all 15 atoms:
Ba (0.000, 0.000, 0.000)
Ba (0.333, 0.667, 0.667)
Ba (0.667, 0.333, 0.333)
Tm (0.000, 0.000, 0.500)
Bi (0.333, 0.667, 0.173)
Bi (0.667, 0.333, 0.827)
O (0.000, 0.500, 0.000)
O (0.168, 0.336, 0.332)
O (0.168, 0.832, 0.332)
O (0.336, 0.168, 0.668)
O (0.500, 0.000, 0.000)
O (0.500, 0.500, 0.000)
O (0.664, 0.832, 0.332)
O (0.832, 0.168, 0.668)
O (0.832, 0.664, 0.668)

The 8 most intense peaks (2θ = 5–70°), by angle:
d/Å, I/Imax
4.364, 8
3.086, 100
2.182, 28
1.952, 4
1.782, 42
1.543, 18
1.455, 2
1.380, 19

=====

This entry pairs a crystal structure of HoZnCu2 with its theoretical X-ray powder pattern. Radiation: a wavelength of 1.5418 Å. Structure: a PBE-relaxed structure.

Crystal structure
Unit cell a=6.951 b=4.118 c=9.410 alpha=90.00 beta=90.00 gamma=90.00
Fractional coordinates of all 16 atoms:
Ho (0.225, 0.250, 0.180)
Ho (0.275, 0.750, 0.680)
Ho (0.725, 0.250, 0.320)
Ho (0.775, 0.750, 0.820)
Zn (0.052, 0.750, 0.393)
Zn (0.448, 0.250, 0.893)
Zn (0.552, 0.750, 0.107)
Zn (0.948, 0.250, 0.607)
Cu (0.071, 0.250, 0.878)
Cu (0.236, 0.750, 0.970)
Cu (0.264, 0.250, 0.470)
Cu (0.429, 0.750, 0.378)
Cu (0.571, 0.250, 0.622)
Cu (0.736, 0.750, 0.530)
Cu (0.764, 0.250, 0.030)
Cu (0.929, 0.750, 0.122)

The 12 most intense peaks (2θ = 5–70°), by angle:
d/Å, I/Imax
3.773, 12
3.475, 17
2.556, 96
2.495, 13
2.349, 100
2.228, 32
2.079, 25
2.059, 37
1.698, 9
1.512, 18
1.463, 16
1.377, 10

=====

This entry pairs a crystal structure of Ac2CdPtPb with its theoretical X-ray powder pattern. Radiation: a wavelength of 1.5418 Å. Structure: a PBE-relaxed structure.

Crystal structure
Unit cell a=8.278 b=4.740 c=8.342 alpha=90.00 beta=109.65 gamma=90.00
Fractional coordinates of all 10 atoms:
Ac (0.109, 0.250, 0.329)
Ac (0.291, 0.250, 0.969)
Ac (0.709, 0.750, 0.031)
Ac (0.891, 0.750, 0.671)
Cd (0.441, 0.750, 0.330)
Cd (0.559, 0.250, 0.670)
Pt (0.107, 0.750, 0.083)
Pt (0.893, 0.250, 0.917)
Pb (0.318, 0.750, 0.658)
Pb (0.682, 0.250, 0.342)

The 12 most intense peaks (2θ = 5–70°), by angle:
d/Å, I/Imax
7.839, 20
3.368, 25
3.104, 50
3.097, 71
3.024, 72
2.760, 100
2.619, 47
2.595, 70
2.385, 36
2.370, 61
2.292, 22
1.758, 41